Structure and simulated powder diffraction line list of Ac5La12Tm (the GGA-PBE geometry in Alexandria; Cu Kα, 1.54184 Å).
Intensities are scaled so that the largest is 100.

Principal peaks in the range 15° ≤ 2θ ≤ 90°, by angle:
hkl  2theta  intensity
2 0 0  28.4  81
0 3 3  29.6  100
1 3 0  29.7  87
1 0 -3  29.8  85
1 0 3  30.0  84
1 -3 0  30.1  82
2 3 3  41.3  37
-2 3 3  41.7  28
1 3 6  52.8  35
-1 6 3  52.9  28

Atomic structure:
```
data_Ac5La12Tm
_chemical_formula_sum 'Ac5 La12 Tm1'
_symmetry_space_group_name_H-M 'P -1'
_symmetry_Int_Tables_number 2
_symmetry_space_group_name_Hall '-P 1'
_cell_length_a 6.2907
_cell_length_b 10.9435
_cell_length_c 10.9460
_cell_angle_alpha 68.60
_cell_angle_beta 89.98
_cell_angle_gamma 89.16
loop_
_atom_site_label
_atom_site_type_symbol
_atom_site_fract_x
_atom_site_fract_y
_atom_site_fract_z
Ac1 Ac 0.0000 0.0000 0.0000
Ac2 Ac 0.9998 0.3384 0.3378
Ac3 Ac 0.4980 0.1639 0.1652
La1 La 0.0493 0.3521 0.9811
La2 La 0.0524 0.0180 0.6466
La3 La 0.0752 0.6823 0.3176
La4 La 0.4251 0.1959 0.8056
La5 La 0.4510 0.8455 0.4838
La6 La 0.4516 0.5169 0.1543
Tm1 Tm 0.5000 0.5000 0.5000
```